Diffraction record for SmZn3Pd9. The PXRD pattern is theoretical, not measured: it uses DFT lattice parameters and positions (PBE) and Cu Kα (λ = 1.5418 Å).
Intensities are scaled so that the largest is 100.

Structure:
```
SmZn3Pd9
1.0
2.6014 -6.4371 0.0000
2.6014 6.4371 0.0000
-2.3331 0.0000 6.3014
Sm Zn Pd
1 3 9
Cartesian
0.0000 0.0000 0.0000 Sm
1.3007 3.2186 0.0000 Zn
1.3007 -3.2186 0.0000 Zn
1.4349 0.0000 3.1507 Zn
-1.1666 0.0000 3.1507 Pd
0.2355 4.1654 4.1572 Pd
0.2448 1.4327 4.9331 Pd
2.6343 4.1654 2.1441 Pd
2.6249 1.4327 1.3683 Pd
0.2448 -1.4327 4.9331 Pd
0.2355 -4.1654 4.1572 Pd
2.6249 -1.4327 1.3683 Pd
2.6343 -4.1654 2.1441 Pd
```

Main lines, by intensity (5 to 70 degrees two-theta):
2theta, d/Å, I/Imax
39.54, 2.279, 100
40.05, 2.251, 93
40.60, 2.222, 47
39.69, 2.271, 45
34.97, 2.566, 42
34.51, 2.599, 41
44.82, 2.022, 40
34.03, 2.635, 36